Simulated X-ray powder pattern
Compound: Th4TlSb2As
Radiation: copper Kα
Structure: a structure optimized by DFT (PBE)
Neutral-atom scattering factors, no anomalous dispersion.

Structural model:
a b c (Å): 7.697 4.453 7.735
angles (deg): 90.00 109.37 90.00
Space group P2/m (No. 10)
Unique sites:
Th1 0.236 0.000 0.235 x2
Th2 0.245 0.500 0.758 x2
Tl1 0.500 0.000 0.000 x1
Sb1 0.000 0.000 0.500 x1
Sb2 0.500 0.500 0.500 x1
As1 0.000 0.500 0.000 x1

Main lines, most intense first (2θ from 5° to 70°):
| two_theta | d_spacing | I/Imax | (hkl) |
| --- | --- | --- | --- |
| 28.3 | 3.150 | 100.0 | 1 1 1 |
| 40.5 | 2.230 | 51.4 | 0 2 0 |
| 40.6 | 2.223 | 25.6 | 3 1 -1 |
| 50.2 | 1.817 | 20.9 | 2 2 -2 |
| 66.3 | 1.410 | 17.4 | 3 1 -5 |
| 58.6 | 1.575 | 12.9 | 4 0 -4 |
| 66.4 | 1.408 | 12.1 | 1 3 1 |
| 24.5 | 3.640 | 9.6 | 1 1 -1 |
| 50.0 | 1.824 | 6.8 | 0 0 4 |
| 66.5 | 1.406 | 5.9 | 5 1 -3 |